YCrW2O8: theoretical powder XRD pattern (λ = 1.5418 Å (Cu Kα)), based on a cell relaxed with GGA+U.
Kinematic intensities with the Lorentz-polarization factor, no thermal factor.

Principal peaks in the range 10 to 80 degrees two-theta, low angle first:
18.2 deg, I 41, hkl 0 0 2; 22.8 deg, I 35, hkl 1 1 -1; 24.0 deg, I 74, hkl 0 1 2; 28.9 deg, I 100, hkl 1 1 1; 29.8 deg, I 92, hkl 1 1 -3; 33.8 deg, I 37, hkl 2 0 -2; 35.6 deg, I 48, hkl 1 2 -1; 51.3 deg, I 30, hkl 0 3 2; 51.6 deg, I 27, hkl 1 2 3; 52.8 deg, I 28, hkl 1 2 -5

Cell and atoms:
Cell: 5.3102 5.7365 10.8992 Å, 90.00 116.64 90.00°
Element x y z (fractional)
Y  0.0000  0.1610  0.2500
Y  0.0000  0.8390  0.7500
Cr  0.5000  0.1672  0.7500
Cr  0.5000  0.8328  0.2500
W  0.2464  0.3396  0.9973
W  0.2464  0.6604  0.4973
W  0.7536  0.3396  0.5027
W  0.7536  0.6604  0.0027
O  0.1791  0.3928  0.6138
O  0.1791  0.6072  0.1138
O  0.2533  0.1112  0.1263
O  0.2533  0.8888  0.6263
O  0.2808  0.1441  0.8580
O  0.2808  0.8559  0.3580
O  0.3242  0.3850  0.4026
O  0.3242  0.6150  0.9026
O  0.6758  0.3850  0.0974
O  0.6758  0.6150  0.5974
O  0.7192  0.1441  0.6420
O  0.7192  0.8559  0.1420
O  0.7467  0.1112  0.3737
O  0.7467  0.8888  0.8737
O  0.8209  0.3928  0.8862
O  0.8209  0.6072  0.3862